The following is a theoretical powder XRD pattern of Tl4Pd7Au. It was derived from a structure optimized by DFT (PBE), using Cu Kα X-rays.
Lines closer than 0.1° are merged.

Structure:
```
12
Lattice="5.6089 -2.5464 0.0000 5.6089 2.5464 0.0000 -5.0546 0.0000 8.3903" Properties=species:S:1:pos:R:3 pbc="T T T"
Tl -0.4027 0.0000 2.3274
Tl -1.4028 0.0000 6.9612
Tl 7.5660 0.0000 1.4291
Tl 6.5658 0.0000 6.0629
Pd -2.5273 0.0000 4.1952
Pd 1.4012 0.0000 0.2154
Pd 0.3857 0.0000 4.9281
Pd 3.8647 0.0000 1.4466
Pd 2.2984 0.0000 6.9437
Pd 5.7775 0.0000 3.4622
Pd 4.7620 0.0000 8.1749
Au 3.0816 0.0000 4.1952
```

Principal peaks in the range 2θ = 15–90°, low angle first:
25.69 deg, intensity 30; 29.88 deg, intensity 59; 34.45 deg, intensity 68; 35.25 deg, intensity 100; 36.86 deg, intensity 33; 39.12 deg, intensity 78; 41.95 deg, intensity 30; 42.94 deg, intensity 42; 50.11 deg, intensity 48; 51.92 deg, intensity 25